Entry 1:
The following is a computed powder X-ray diffraction pattern of Zr6AlNi. It was derived from DFT lattice parameters and positions (GGA-PBE), using Cu Kα (weighted mean of Kα1 and Kα2).

Main lines, sorted by position (10 to 80 degrees two-theta):
Position (°2θ), I/Imax
22.85, 50
31.34, 66
34.53, 16
34.81, 35
40.00, 100
40.85, 26
43.10, 62
56.36, 16
62.59, 21
76.91, 28

Structure:
Unit cell a=4.1978 b=4.1978 c=10.3904 alpha=90.00 beta=90.00 gamma=90.00
Space group P4/mmm (No. 123)
Symmetry-distinct sites (fractional):
Zr1 0.0000 0.0000 0.1192 (multiplicity 2)
Zr2 0.0000 0.5000 0.3421 (multiplicity 4)
Al1 0.5000 0.5000 0.0000 (multiplicity 1)
Ni1 0.5000 0.5000 0.5000 (multiplicity 1)

Entry 2:
The following is a computed powder X-ray diffraction pattern of Ba2Tb3Se6. It was derived from DFT lattice parameters and positions (GGA-PBE), using Cu Kα (weighted mean of Kα1 and Kα2).

Main lines, sorted by position (10 to 80 degrees two-theta):
Position (°2θ), I/Imax
11.70, 20
29.10, 100
37.10, 8
40.28, 37
42.93, 36
52.71, 19
60.33, 11
66.47, 9
70.23, 11
76.87, 11

Structure:
Unit cell a=7.2997 b=12.6347 c=7.9412 alpha=90.00 beta=107.79 gamma=90.00
Space group C2/m (No. 12)
Symmetry-distinct sites (fractional):
Ba1 0.0000 0.1670 0.0000 (multiplicity 4)
Tb1 0.0000 0.0000 0.5000 (multiplicity 2)
Tb2 0.0000 0.3343 0.5000 (multiplicity 4)
Se1 0.2375 0.1664 0.7123 (multiplicity 8)
Se2 0.2373 0.5000 0.7140 (multiplicity 4)

Entry 3:
The following is a computed powder X-ray diffraction pattern of Ce2Nd3Sn4. It was derived from DFT lattice parameters and positions (GGA-PBE), using Cu Kα (weighted mean of Kα1 and Kα2).

Main lines, sorted by position (10 to 80 degrees two-theta):
Position (°2θ), I/Imax
27.72, 43
28.16, 41
29.71, 100
30.29, 65
30.62, 88
31.15, 99
33.15, 41
33.61, 93
34.07, 27
34.35, 77

Structure:
Unit cell a=8.6015 b=8.5280 c=8.2373 alpha=90.00 beta=111.47 gamma=90.00
Space group P2_1/c (No. 14)
Symmetry-distinct sites (fractional):
Ce1 0.1952 0.1824 0.0610 (multiplicity 4)
Nd1 0.2414 0.6682 0.2293 (multiplicity 4)
Nd2 0.5000 0.0000 0.5000 (multiplicity 2)
Sn1 0.0833 0.5323 0.8260 (multiplicity 4)
Sn2 0.4864 0.1323 0.8693 (multiplicity 4)

Entry 4:
The following is a computed powder X-ray diffraction pattern of MoP4Ru. It was derived from DFT lattice parameters and positions (GGA-PBE), using Cu Kα (weighted mean of Kα1 and Kα2).

Main lines, sorted by position (10 to 80 degrees two-theta):
Position (°2θ), I/Imax
22.27, 29
36.76, 80
43.40, 100
45.44, 10
52.97, 2
58.15, 7
66.21, 27
70.81, 30
78.20, 22

Structure:
Unit cell a=6.9145 b=6.9145 c=6.9145 alpha=90.00 beta=90.00 gamma=90.00
Space group F-43m (No. 216)
Symmetry-distinct sites (fractional):
Mo1 0.0000 0.0000 0.0000 (multiplicity 4)
P1 0.1251 0.1251 0.6251 (multiplicity 16)
Ru1 0.2500 0.2500 0.2500 (multiplicity 4)

Entry 5:
The following is a computed powder X-ray diffraction pattern of CsLi4Sm3Br12. It was derived from DFT lattice parameters and positions (GGA-PBE), using Cu Kα (weighted mean of Kα1 and Kα2).

Main lines, sorted by position (10 to 80 degrees two-theta):
Position (°2θ), I/Imax
11.22, 57
15.78, 32
19.40, 30
22.23, 29
29.73, 100
29.91, 23
37.63, 25
43.80, 34
46.02, 26
50.27, 24

Structure:
Unit cell a=15.7778 b=15.7778 c=9.8648 alpha=90.00 beta=90.00 gamma=120.00
Space group R32 (No. 155, hexagonal axes)
Symmetry-distinct sites (fractional):
Cs1 0.0000 0.0000 0.0000 (multiplicity 3)
Li1 0.0000 0.0000 0.5000 (multiplicity 3)
Li2 0.0000 0.4138 0.5000 (multiplicity 9)
Sm1 0.0000 0.5794 0.0000 (multiplicity 9)
Br1 0.0000 0.5755 0.5000 (multiplicity 9)
Br2 0.0000 0.8456 0.5000 (multiplicity 9)
Br3 0.0712 0.2417 0.1670 (multiplicity 18)

Entry 6:
The following is a computed powder X-ray diffraction pattern of TaCd3. It was derived from DFT lattice parameters and positions (GGA-PBE), using Cu Kα (weighted mean of Kα1 and Kα2).

Main lines, sorted by position (10 to 80 degrees two-theta):
Position (°2θ), I/Imax
17.81, 8
31.10, 2
36.06, 100
38.21, 85
42.45, 2
53.55, 31
64.84, 17
66.26, 32
70.44, 14
76.50, 11

Structure:
Unit cell a=9.9621 b=9.9621 c=2.8120 alpha=90.00 beta=90.00 gamma=120.00
Space group R-3m (No. 166, hexagonal axes)
Symmetry-distinct sites (fractional):
Ta1 0.0000 0.0000 0.0000 (multiplicity 3)
Cd1 0.0000 0.5000 0.0000 (multiplicity 9)

Copy entry 4 word for word.
The following is a computed powder X-ray diffraction pattern of MoP4Ru. It was derived from DFT lattice parameters and positions (GGA-PBE), using Cu Kα (weighted mean of Kα1 and Kα2).

Main lines, sorted by position (10 to 80 degrees two-theta):
Position (°2θ), I/Imax
22.27, 29
36.76, 80
43.40, 100
45.44, 10
52.97, 2
58.15, 7
66.21, 27
70.81, 30
78.20, 22

Structure:
Unit cell a=6.9145 b=6.9145 c=6.9145 alpha=90.00 beta=90.00 gamma=90.00
Space group F-43m (No. 216)
Symmetry-distinct sites (fractional):
Mo1 0.0000 0.0000 0.0000 (multiplicity 4)
P1 0.1251 0.1251 0.6251 (multiplicity 16)
Ru1 0.2500 0.2500 0.2500 (multiplicity 4)

- What is the formula in the fourth record?
  MoP4Ru